Diffraction record for Na2MnCdFeP3O12. The powder X-ray diffraction pattern is simulated, not measured: it uses a DFT-relaxed cell (GGA+U, Alexandria) and λ = 1.5418 Å (Cu Kα).
Intensities are scaled so that the largest is 100.

Principal peaks in the range 10° ≤ 2θ ≤ 90°, sorted by position:
2θ/deg, d [Å], Rel. int., hkl
10.47, 8.451, 100, 0 0 1
24.76, 3.595, 69, 0 2 1
30.14, 2.965, 35, -2 1 2
30.28, 2.952, 39, -2 2 1
31.86, 2.809, 92, 0 2 2
32.08, 2.790, 93, 0 1 -3
32.21, 2.779, 85, 0 3 -1
34.39, 2.608, 37, 2 1 -2
34.53, 2.597, 43, 2 0 1
50.74, 1.799, 40, 2 3 0

Atomic structure:
Cell lengths 6.6227, 8.8617, 8.9315 Å; angles 92.24, 106.93, 106.29 degrees
Space group P1 (No. 1)
Inequivalent atoms, fractional coordinates:
Na: 0.0000 0.0000 0.0000
Na: 0.0094 0.2942 0.7082
Na: 0.5090 0.2469 0.7602
Na: 0.7622 0.7735 0.2309
Mn: 0.4063 0.6426 0.8109
Mn: 0.6138 0.1948 0.3578
Cd: 0.2527 0.7750 0.2309
Cd: 0.5132 0.5344 0.4696
Fe: 0.1186 0.8822 0.6725
Fe: 0.8999 0.3284 0.1244
P: 0.0124 0.5509 0.4565
P: 0.1327 0.1298 0.3990
P: 0.3871 0.4016 0.0863
P: 0.5071 0.9892 0.0096
P: 0.6237 0.9199 0.6021
P: 0.8956 0.6034 0.8743
O: 0.0220 0.5290 0.2829
O: 0.0775 0.6663 0.7934
O: 0.0977 0.9829 0.2858
O: 0.1292 0.0829 0.5671
O: 0.1692 0.2826 0.0983
O: 0.2217 0.5228 0.5685
O: 0.2962 0.0061 0.8839
O: 0.3548 0.4241 0.9108
O: 0.3603 0.2580 0.4281
O: 0.4333 0.8644 0.6754
O: 0.4398 0.5598 0.1948
O: 0.4709 0.0040 0.1732
O: 0.5512 0.8297 0.9933
O: 0.5589 0.8074 0.4433
O: 0.5844 0.3323 0.1468
O: 0.6604 0.0955 0.5770
O: 0.6646 0.5798 0.7513
O: 0.7107 0.1219 0.9944
O: 0.8059 0.4353 0.4827
O: 0.8437 0.9028 0.7138
O: 0.8923 0.4348 0.9239
O: 0.9422 0.7216 0.0215
O: 0.9432 0.2062 0.3298
O: 0.9993 0.7231 0.4787